# Pm5Ag4Ir
Theoretical PXRD pattern, copper Kα. Input: a cell relaxed with PBE.

Structural model:
```
data_Pm5Ag4Ir
_symmetry_space_group_name_H-M 'P 4/m m m'
_symmetry_Int_Tables_number 123
_symmetry_space_group_name_Hall '-P 4 2'
_cell_length_a 3.651
_cell_length_b 3.651
_cell_length_c 18.830
_cell_angle_alpha 90.00
_cell_angle_beta 90.00
_cell_angle_gamma 90.00
loop_
_atom_site_label
_atom_site_fract_x
_atom_site_fract_y
_atom_site_fract_z
_atom_site_occupancy
Pm1 0.000 0.000 0.000 1
Pm2 0.000 0.000 0.205 1
Pm3 0.000 0.000 0.412 1
Ag1 0.500 0.500 0.102 1
Ag2 0.500 0.500 0.305 1
Ir1 0.500 0.500 0.500 1
```

Largest 10 diffraction maxima, in order of rising 2θ, 5° ≤ 2θ ≤ 70°:
Position (°2θ), I (rel.)
9.39, 32
14.11, 17
34.20, 1000
34.75, 500
37.80, 23
48.33, 82
49.96, 177
50.25, 14
60.89, 163
61.94, 351